Starting from the PBE geometry in OQMD, the powder diffraction line list of ZrTlAg3Te4 was computed for a wavelength of 1.5418 Å.
No peak broadening, texture or thermal motion is included.

Structural model:
Unit cell a=6.808 b=6.808 c=6.808 alpha=90.00 beta=90.00 gamma=90.00
Space group P-43m (No. 215)
Asymmetric unit:
Zr 0.000 0.000 0.000 (multiplicity 1)
Tl 0.500 0.500 0.500 (multiplicity 1)
Ag 0.000 0.000 0.500 (multiplicity 3)
Te 0.233 0.233 0.767 (multiplicity 4)

Peak list (10 most intense, 2θ from 5° to 70°, by angle)
18.43°, intensity 17, (1 1 0); 22.62°, intensity 87, (1 1 1); 32.21°, intensity 10, (2 1 1); 37.36°, intensity 100, (2 2 0); 44.12°, intensity 42, (3 1 1); 50.14°, intensity 7, (3 2 1); 53.87°, intensity 16, (4 0 0); 57.43°, intensity 5, (4 1 1); 59.15°, intensity 16, (3 3 1); 67.39°, intensity 32, (4 2 2)